1.
Simulated XRD peak list of Cs2AcBi2O7 for Cu Kα X-rays, from DFT lattice parameters and positions (GGA-PBE).

Most intense lines, 2θ = 5–70°, most intense first:
- 2θ = 27.56°, d 3.236, I 100
- 2θ = 28.98°, d 3.081, I 49
- 2θ = 50.51°, d 1.807, I 39
- 2θ = 7.32°, d 12.083, I 35
- 2θ = 41.45°, d 2.178, I 25
- 2θ = 47.84°, d 1.901, I 23
- 2θ = 56.91°, d 1.618, I 14
- 2θ = 37.21°, d 2.417, I 11
- 2θ = 68.05°, d 1.378, I 9
- 2θ = 67.33°, d 1.391, I 9

Cell and atoms:
a = 12.470 Å, b = 12.470 Å, c = 12.470 Å
α = 159.88°, β = 159.88°, γ = 28.61°
Fractional positions:
Cs 0.193 0.193 0.000
Cs 0.807 0.807 0.000
Ac 0.000 0.000 0.000
Bi 0.408 0.408 0.000
Bi 0.592 0.592 0.000
O 0.073 0.573 0.500
O 0.322 0.322 0.000
O 0.427 0.927 0.500
O 0.500 0.500 0.000
O 0.573 0.073 0.500
O 0.678 0.678 0.000
O 0.927 0.427 0.500

***

2.
Simulated XRD peak list of AcCuBiO4 for Cu Kα X-rays, from DFT lattice parameters and positions (GGA-PBE).

Most intense lines, 2θ = 5–70°, most intense first:
- 2θ = 28.03°, d 3.183, I 100
- 2θ = 32.46°, d 2.758, I 72
- 2θ = 29.00°, d 3.079, I 46
- 2θ = 41.67°, d 2.168, I 38
- 2θ = 29.26°, d 3.052, I 32
- 2θ = 56.26°, d 1.635, I 30
- 2θ = 54.51°, d 1.683, I 21
- 2θ = 50.81°, d 1.797, I 20
- 2θ = 20.49°, d 4.335, I 20
- 2θ = 44.63°, d 2.030, I 18

Cell and atoms:
a = 5.558 Å, b = 5.558 Å, c = 8.121 Å
α = 90.00°, β = 90.00°, γ = 112.73°
Fractional positions:
Ac 0.000 0.000 0.000
Ac 0.000 0.000 0.500
Cu 0.321 0.679 0.750
Cu 0.679 0.321 0.250
Bi 0.335 0.665 0.250
Bi 0.665 0.335 0.750
O 0.253 0.255 0.750
O 0.255 0.253 0.250
O 0.273 0.727 0.527
O 0.273 0.727 0.973
O 0.727 0.273 0.027
O 0.727 0.273 0.473
O 0.745 0.747 0.750
O 0.747 0.745 0.250

***

3.
Simulated XRD peak list of AcDyBi2O8 for Cu Kα X-rays, from DFT lattice parameters and positions (GGA-PBE).

Most intense lines, 2θ = 5–70°, most intense first:
- 2θ = 27.38°, d 3.258, I 100
- 2θ = 45.07°, d 2.011, I 32
- 2θ = 54.58°, d 1.681, I 31
- 2θ = 32.25°, d 2.776, I 24
- 2θ = 52.49°, d 1.743, I 17
- 2θ = 46.25°, d 1.963, I 15
- 2θ = 30.63°, d 2.918, I 15
- 2θ = 56.50°, d 1.629, I 12
- 2θ = 67.47°, d 1.388, I 5
- 2θ = 63.78°, d 1.459, I 2

Cell and atoms:
a = 7.034 Å, b = 7.034 Å, c = 7.034 Å
α = 133.51°, β = 133.51°, γ = 67.85°
Fractional positions:
Ac 0.000 0.000 0.000
Dy 0.250 0.750 0.500
Bi 0.500 0.500 0.000
Bi 0.750 0.250 0.500
O 0.045 0.092 0.459
O 0.224 0.657 0.077
O 0.343 0.420 0.567
O 0.413 0.955 0.046
O 0.580 0.147 0.923
O 0.633 0.587 0.541
O 0.853 0.776 0.433
O 0.908 0.367 0.954

***

4.
Simulated XRD peak list of Ac3ErBi4 for Cu Kα X-rays, from DFT lattice parameters and positions (GGA-PBE).

Most intense lines, 2θ = 5–70°, most intense first:
- 2θ = 26.37°, d 3.379, I 100
- 2θ = 37.64°, d 2.390, I 79
- 2θ = 46.54°, d 1.951, I 29
- 2θ = 61.30°, d 1.512, I 19
- 2θ = 61.37°, d 1.511, I 19
- 2θ = 67.90°, d 1.380, I 15
- 2θ = 54.29°, d 1.690, I 14
- 2θ = 67.98°, d 1.379, I 13
- 2θ = 51.96°, d 1.760, I 2
- 2θ = 28.79°, d 3.101, I 2

Cell and atoms:
a = 8.272 Å, b = 8.272 Å, c = 4.786 Å
α = 90.00°, β = 90.00°, γ = 109.46°
Fractional positions:
Ac 0.000 0.000 0.000
Ac 0.000 0.500 0.500
Ac 0.500 0.000 0.500
Er 0.500 0.500 0.000
Bi 0.259 0.741 0.000
Bi 0.267 0.267 0.500
Bi 0.733 0.733 0.500
Bi 0.741 0.259 0.000

***

5.
Simulated XRD peak list of AcEr5Bi6 for Cu Kα X-rays, from DFT lattice parameters and positions (GGA-PBE).

Most intense lines, 2θ = 5–70°, most intense first:
- 2θ = 27.89°, d 3.199, I 100
- 2θ = 39.85°, d 2.262, I 78
- 2θ = 49.34°, d 1.847, I 28
- 2θ = 65.17°, d 1.432, I 18
- 2θ = 65.26°, d 1.430, I 18
- 2θ = 57.67°, d 1.599, I 9
- 2θ = 57.56°, d 1.601, I 4
- 2θ = 24.09°, d 3.694, I 1
- 2θ = 35.92°, d 2.500, I 1

Cell and atoms:
a = 7.840 Å, b = 7.840 Å, c = 7.837 Å
α = 99.66°, β = 99.66°, γ = 120.02°
Fractional positions:
Ac 0.000 0.000 0.000
Er 0.160 0.840 0.500
Er 0.331 0.669 0.000
Er 0.500 0.500 0.500
Er 0.669 0.331 0.000
Er 0.840 0.160 0.500
Bi 0.087 0.435 0.261
Bi 0.264 0.264 0.746
Bi 0.435 0.087 0.261
Bi 0.565 0.913 0.739
Bi 0.736 0.736 0.254
Bi 0.913 0.565 0.739

***

6.
Simulated XRD peak list of K2AcBiF8 for Cu Kα X-rays, from DFT lattice parameters and positions (GGA-PBE).

Most intense lines, 2θ = 5–70°, most intense first:
- 2θ = 25.81°, d 3.452, I 100
- 2θ = 14.10°, d 6.281, I 54
- 2θ = 42.24°, d 2.139, I 43
- 2θ = 21.50°, d 4.133, I 34
- 2θ = 35.91°, d 2.500, I 20
- 2θ = 33.83°, d 2.650, I 19
- 2θ = 48.76°, d 1.868, I 18
- 2θ = 51.49°, d 1.775, I 15
- 2θ = 30.59°, d 2.922, I 15
- 2θ = 51.60°, d 1.771, I 15

Cell and atoms:
a = 4.141 Å, b = 6.281 Å, c = 8.250 Å
α = 90.00°, β = 90.00°, γ = 90.00°
Fractional positions:
K 0.000 0.000 0.240
K 0.000 0.000 0.760
Ac 0.500 0.500 0.500
Bi 0.500 0.500 0.000
F 0.000 0.275 0.500
F 0.000 0.294 0.000
F 0.000 0.706 0.000
F 0.000 0.725 0.500
F 0.500 0.284 0.239
F 0.500 0.284 0.761
F 0.500 0.716 0.239
F 0.500 0.716 0.761

***

7.
Simulated XRD peak list of Ac2GaBi4 for Cu Kα X-rays, from DFT lattice parameters and positions (GGA-PBE).

Most intense lines, 2θ = 5–70°, most intense first:
- 2θ = 31.56°, d 2.835, I 100
- 2θ = 37.54°, d 2.396, I 49
- 2θ = 27.70°, d 3.220, I 41
- 2θ = 64.03°, d 1.454, I 27
- 2θ = 25.81°, d 3.451, I 23
- 2θ = 31.96°, d 2.800, I 22
- 2θ = 46.12°, d 1.968, I 21
- 2θ = 47.85°, d 1.901, I 19
- 2θ = 62.36°, d 1.489, I 18
- 2θ = 54.14°, d 1.694, I 17

Cell and atoms:
a = 4.791 Å, b = 4.791 Å, c = 10.354 Å
α = 90.00°, β = 90.00°, γ = 90.00°
Fractional positions:
Ac 0.000 0.500 0.241
Ac 0.500 0.000 0.759
Ga 0.500 0.500 0.000
Bi 0.000 0.000 0.500
Bi 0.000 0.500 0.844
Bi 0.500 0.000 0.156
Bi 0.500 0.500 0.500

***

8.
Simulated XRD peak list of Ac4GaBiN for Cu Kα X-rays, from DFT lattice parameters and positions (GGA-PBE).

Most intense lines, 2θ = 5–70°, most intense first:
- 2θ = 26.58°, d 3.354, I 100
- 2θ = 31.72°, d 2.821, I 75
- 2θ = 35.14°, d 2.554, I 62
- 2θ = 46.63°, d 1.948, I 36
- 2θ = 29.67°, d 3.011, I 31
- 2θ = 58.00°, d 1.590, I 24
- 2θ = 60.91°, d 1.521, I 24
- 2θ = 30.30°, d 2.950, I 24
- 2θ = 50.47°, d 1.808, I 12
- 2θ = 47.48°, d 1.915, I 11

Cell and atoms:
a = 9.731 Å, b = 9.731 Å, c = 7.215 Å
α = 90.00°, β = 90.00°, γ = 136.36°
Fractional positions:
Ac 0.000 0.500 0.000
Ac 0.000 0.500 0.500
Ac 0.060 0.940 0.750
Ac 0.416 0.584 0.750
Ac 0.500 0.000 0.000
Ac 0.500 0.000 0.500
Ac 0.584 0.416 0.250
Ac 0.940 0.060 0.250
Ga 0.119 0.881 0.250
Ga 0.881 0.119 0.750
Bi 0.390 0.610 0.250
Bi 0.610 0.390 0.750
N 0.280 0.720 0.750
N 0.720 0.280 0.250